Starting from a crystal structure in Alexandria, relaxed with GGA-PBE, the powder X-ray diffraction pattern of Cu7Rh2Au2 was calculated for Cu Kα, 1.54184 Å.
Kinematic intensities with the Lorentz-polarization factor, no thermal factor.

Atomic structure:
Cell: 6.7111 8.1392 6.0308 Å, 90.00 105.39 90.00°
Space group C2/m (No. 12)
Symmetry-distinct sites (fractional):
Cu 0.0000 0.0000 0.0000 [2 per cell]
Cu 0.1697 0.2667 0.1579 [8 per cell]
Cu 0.2204 0.0000 0.4999 [4 per cell]
Rh 0.1023 0.5000 0.8478 [4 per cell]
Au 0.0000 0.2635 0.5000 [4 per cell]

Principal peaks in the range 15° ≤ 2θ ≤ 90°, by angle:
(0 2 1), 2θ 26.74, 3.334 Å, rel. 25; (0 0 2), 2θ 30.75, 2.907 Å, rel. 18; (2 0 -2), 2θ 35.61, 2.521 Å, rel. 28; (2 2 1), 2θ 41.76, 2.163 Å, rel. 100; (2 2 -2), 2θ 42.17, 2.143 Å, rel. 89; (0 4 0), 2θ 44.53, 2.035 Å, rel. 40; (0 0 3), 2θ 46.88, 1.938 Å, rel. 28; (0 4 3), 2θ 66.62, 1.404 Å, rel. 22